1.
# Er3Tl2C
Calculated powder XRD pattern, a wavelength of 1.5418 Å. Input: the GGA-PBE geometry in Alexandria.
Lines closer than 0.1° are merged.

Structure:
a = 4.9126 Å, b = 16.0427 Å, c = 3.5928 Å
α = 90.00°, β = 90.00°, γ = 90.00°
Space group Cmmm (No. 65)
One atom of each set of equivalent atoms:
Er 0.0000 0.0000 0.0000
Er 0.0000 0.3959 0.5000
Tl 0.0000 0.1933 0.0000
C 0.0000 0.5000 0.0000

The 8 most intense peaks (2θ = 15–90°), in order of rising 2θ:
2θ (°)	d [Å]	I (rel.)
31.35	2.854	96
33.35	2.686	100
33.49	2.676	37
35.20	2.549	23
36.58	2.456	42
42.13	2.145	27
50.43	1.810	23
62.16	1.493	34


2.
# Pa2VCr
Calculated powder XRD pattern, a wavelength of 1.5418 Å. Input: the GGA-PBE geometry in Alexandria.
Lines closer than 0.1° are merged.

Structure:
a = 2.9765 Å, b = 2.9765 Å, c = 30.1843 Å
α = 90.00°, β = 90.00°, γ = 120.00°
Space group R-3m (No. 166, hexagonal axes)
One atom of each set of equivalent atoms:
Pa 0.0000 0.0000 0.0867
V 0.0000 0.0000 0.0000
Cr 0.0000 0.0000 0.5000

The 8 most intense peaks (2θ = 15–90°), in order of rising 2θ:
2θ (°)	d [Å]	I (rel.)
17.63	5.031	100
34.93	2.568	73
35.32	2.541	48
35.70	2.515	46
37.96	2.371	70
40.78	2.213	42
46.32	1.960	38
48.45	1.879	38


3.
# CeGa2Co3
Calculated powder XRD pattern, a wavelength of 1.5418 Å. Input: the GGA-PBE geometry in Alexandria.
Lines closer than 0.1° are merged.

Structure:
a = 5.1642 Å, b = 5.1642 Å, c = 3.9312 Å
α = 90.00°, β = 90.00°, γ = 120.00°
Space group P6mm (No. 183)
One atom of each set of equivalent atoms:
Ce 0.0000 0.0000 0.0000
Ga 0.3333 0.6667 0.3260
Co 0.0000 0.5000 0.8169

The 8 most intense peaks (2θ = 15–90°), in order of rising 2θ:
2θ (°)	d [Å]	I (rel.)
22.62	3.931	24
30.27	2.953	63
34.74	2.582	50
40.33	2.236	42
41.86	2.158	44
46.73	1.944	100
50.73	1.799	41
73.96	1.282	26


4.
# SrInBr6
Calculated powder XRD pattern, a wavelength of 1.5418 Å. Input: the GGA-PBE geometry in Alexandria.
Lines closer than 0.1° are merged.

Structure:
a = 7.2167 Å, b = 7.2222 Å, c = 7.4275 Å
α = 118.72°, β = 90.27°, γ = 119.96°
Space group P-1 (No. 2)
One atom of each set of equivalent atoms:
Sr 0.0000 0.0000 0.0000
In 0.5000 0.0000 0.5000
Br 0.0878 0.8018 0.2582
Br 0.2895 0.8345 0.7470
Br 0.4532 0.5436 0.2572

The 8 most intense peaks (2θ = 15–90°), in order of rising 2θ:
2θ (°)	d [Å]	I (rel.)
17.08	5.190	46
23.97	3.712	35
28.59	3.122	96
28.71	3.109	100
30.17	2.962	38
38.27	2.352	35
38.39	2.345	39
43.41	2.084	72


5.
# BaGa2W
Calculated powder XRD pattern, a wavelength of 1.5418 Å. Input: the GGA-PBE geometry in Alexandria.
Lines closer than 0.1° are merged.

Structure:
a = 5.3254 Å, b = 5.3254 Å, c = 17.2912 Å
α = 90.00°, β = 90.00°, γ = 90.00°
Space group I4_1/amd (No. 141, origin choice 2)
One atom of each set of equivalent atoms:
Ba 0.0000 0.2500 0.3750
Ga 0.0000 0.0000 0.0000
W 0.0000 0.2500 0.8750

The 8 most intense peaks (2θ = 15–90°), in order of rising 2θ:
2θ (°)	d [Å]	I (rel.)
17.42	5.090	30
25.81	3.452	100
33.66	2.663	25
39.37	2.289	33
39.76	2.267	32
53.05	1.726	30
55.60	1.653	24
64.04	1.454	16